This entry pairs a crystal structure of Hf4CuP with its theoretical X-ray powder pattern. Radiation: CuKα. Structure: a PBE-relaxed structure.

Main lines, most intense first (2θ = 5–70°):
2θ (°)  d (Å)  Rel. int.
35.40  2.535  100
44.14  2.052  22
62.26  1.491  20
34.39  2.608  17
39.76  2.267  12
44.58  2.032  12
61.56  1.506  12
68.08  1.377  9
57.12  1.612  7
60.55  1.529  6

Crystal structure
```
data_Hf4CuP
_chemical_formula_sum 'Hf8 Cu2 P2'
_cell_length_a 6.4877
_cell_length_b 6.4877
_cell_length_c 5.2155
_cell_angle_alpha 90.00
_cell_angle_beta 90.00
_cell_angle_gamma 90.00
_symmetry_space_group_name_H-M 'P 4/m c c'
_symmetry_Int_Tables_number 124
_symmetry_space_group_name_Hall '-P 4 2c'
loop_
_atom_site_label
_atom_site_type_symbol
_atom_site_fract_x
_atom_site_fract_y
_atom_site_fract_z
Hf1 Hf 0.1537 0.3411 0.0000
Cu1 Cu 0.5000 0.5000 0.2500
P1 P 0.0000 0.0000 0.2500
```